Diffraction record for MoOsO4. The X-ray diffraction stick pattern is calculated, not measured: it uses a GGA+U-relaxed structure and Cu Kα, 1.54184 Å.
Neutral-atom scattering factors, no anomalous dispersion.

Most intense lines, 5 to 70 degrees two-theta, by angle:
- 2θ 16.68, I 17.4, (0 0 2)
- 2θ 26.17, I 100.0, (1 1 1)
- 2θ 30.01, I 50.5, (1 1 2)
- 2θ 33.73, I 25.4, (0 0 4)
- 2θ 35.58, I 37.9, (1 1 3)
- 2θ 35.72, I 31.6, (0 2 2)
- 2θ 49.84, I 17.2, (1 1 5)
- 2θ 52.44, I 20.9, (2 0 4)
- 2θ 53.85, I 33.6, (2 2 2)
- 2θ 63.41, I 15.2, (1 3 4)

Structure:
```
data_MoOsO4
_space_group_name_H-M_alt 'P b c n'
_space_group_IT_number 60
_cell_length_a 4.6267
_cell_length_b 5.7065
_cell_length_c 10.6298
_cell_angle_alpha 90.00
_cell_angle_beta 90.00
_cell_angle_gamma 90.00
loop_
_space_group_symop_operation_xyz
'x,y,z'
'-x,-y,-z'
'-x+1/2,-y+1/2,z+1/2'
'x+1/2,y+1/2,-z+1/2'
'x+1/2,-y+1/2,-z'
'-x+1/2,y+1/2,z'
'-x,y,-z+1/2'
'x,-y,z+1/2'
loop_
_atom_site_label
_atom_site_type_symbol
_atom_site_fract_x
_atom_site_fract_y
_atom_site_fract_z
Mo1 Mo 0.0000 0.0000 0.0000
Os1 Os 0.0000 0.3004 0.2500
O1 O 0.2010 0.2871 0.0859
O2 O 0.2394 0.0422 0.3251
```